No. 1
# NdAl11O18
Calculated XRD peak list, copper Kα. Input: a DFT-relaxed cell (PBE, the Materials Project).

Cell and atoms:
a b c (Å): 5.6111 5.6428 11.5061
angles (deg): 77.02 89.99 61.58
Space group P-1 (No. 2)
One atom of each set of equivalent atoms:
Nd 0.0000 0.0000 0.0000 x1
Al 0.0000 0.0000 0.5000 x1
Al 0.1023 0.5877 0.2760 x2
Al 0.1079 0.0977 0.2929 x2
Al 0.3518 0.3537 0.5564 x2
Al 0.3993 0.9054 0.7177 x2
Al 0.4535 0.4580 0.8729 x2
O 0.0840 0.6175 0.7906 x2
O 0.0847 0.0992 0.7934 x2
O 0.1813 0.7256 0.5973 x2
O 0.1908 0.1914 0.6066 x2
O 0.2712 0.5551 0.0032 x2
O 0.2800 0.8132 0.3967 x2
O 0.3065 0.2918 0.3918 x2
O 0.3978 0.9090 0.1960 x2
O 0.4245 0.3953 0.2122 x2

Main lines, in order of rising 2θ (15° ≤ 2θ ≤ 90°):
2θ 18.51, I = 100, (1 1 0)
2θ 19.17, I = 63, (1 1 1)
2θ 21.14, I = 46, (1 1 -1)
2θ 22.83, I = 37, (1 1 2)
2θ 26.36, I = 46, (0 1 3)
2θ 31.88, I = 40, (1 -1 0)
2θ 32.40, I = 47, (-1 1 2)
2θ 35.07, I = 51, (1 0 -4)
2θ 38.92, I = 74, (2 2 2)
2θ 54.26, I = 38, (0 2 6)



No. 2
# LaAl3
Calculated XRD peak list, copper Kα. Input: a DFT-relaxed cell (PBE, the Materials Project).

Cell and atoms:
a b c (Å): 6.6440 6.6440 4.6723
angles (deg): 90.00 90.00 120.00
Space group P6_3/mmc (No. 194)
One atom of each set of equivalent atoms:
La 0.3333 0.6667 0.2500 x2
Al 0.1383 0.2767 0.7500 x6

Main lines, in order of rising 2θ (15° ≤ 2θ ≤ 90°):
2θ 24.54, I = 94, (1 0 1)
2θ 26.84, I = 48, (1 1 0)
2θ 31.09, I = 26, (2 0 0)
2θ 36.68, I = 100, (2 0 1)
2θ 38.54, I = 21, (0 0 2)
2θ 46.03, I = 22, (2 1 1)
2θ 47.58, I = 20, (1 1 2)
2θ 55.31, I = 17, (2 2 0)
2θ 61.39, I = 21, (3 1 1)
2θ 69.43, I = 17, (2 2 2)



No. 3
# Sm2MgS4
Calculated XRD peak list, copper Kα. Input: a DFT-relaxed cell (PBE, the Materials Project).

Cell and atoms:
a b c (Å): 7.5302 8.8129 11.8289
angles (deg): 100.07 96.34 91.34
Space group P-1 (No. 2)
One atom of each set of equivalent atoms:
Sm 0.1316 0.4475 0.3342 x2
Sm 0.1388 0.9727 0.3469 x2
Sm 0.2515 0.1292 0.9973 x2
Sm 0.3635 0.2932 0.6579 x2
Mg 0.2540 0.6079 0.9927 x2
Mg 0.3608 0.7929 0.6874 x2
S 0.0970 0.4093 0.1053 x2
S 0.1001 0.9200 0.1195 x2
S 0.1988 0.5435 0.6037 x2
S 0.2032 0.0063 0.6080 x2
S 0.2986 0.7194 0.3762 x2
S 0.3487 0.2298 0.3939 x2
S 0.3861 0.8357 0.8948 x2
S 0.3990 0.3586 0.8864 x2

Main lines, in order of rising 2θ (15° ≤ 2θ ≤ 90°):
2θ 23.07, I = 100, (0 0 3)
2θ 23.79, I = 77, (1 -2 1)
2θ 24.17, I = 67, (1 2 0)
2θ 25.24, I = 38, (-1 2 1)
2θ 25.86, I = 71, (2 0 1)
2θ 26.88, I = 40, (2 0 -2)
2θ 35.28, I = 30, (1 2 -4)
2θ 40.97, I = 97, (3 -2 0)
2θ 41.84, I = 40, (3 2 -1)
2θ 43.68, I = 43, (1 2 4)



No. 4
# CeMgS3
Calculated XRD peak list, copper Kα. Input: a DFT-relaxed cell (PBE, the Materials Project).

Cell and atoms:
a b c (Å): 7.7020 10.9256 6.8221
angles (deg): 90.00 119.45 90.00
Space group C2/m (No. 12)
One atom of each set of equivalent atoms:
Ce 0.1952 0.0000 0.2628 x4
Mg 0.0000 0.3261 0.0000 x4
S 0.0559 0.5000 0.2848 x4
S 0.0960 0.1519 0.8235 x8

Main lines, in order of rising 2θ (15° ≤ 2θ ≤ 90°):
2θ 16.23, I = 88, (0 2 0)
2θ 16.41, I = 100, (1 1 -1)
2θ 25.76, I = 27, (1 1 1)
2θ 28.41, I = 93, (1 3 -1)
2θ 30.09, I = 36, (0 0 2)
2θ 34.37, I = 43, (0 2 2)
2θ 34.82, I = 31, (1 3 1)
2θ 41.54, I = 24, (1 1 -3)
2θ 44.45, I = 37, (3 3 -2)
2θ 50.05, I = 36, (0 6 0)



No. 5
# Mn4SiMoC
Calculated XRD peak list, copper Kα. Input: a DFT-relaxed cell (PBE, the Materials Project).

Cell and atoms:
a b c (Å): 10.1878 8.0785 7.6366
angles (deg): 90.00 90.00 90.00
Space group Cmc2_1 (No. 36)
One atom of each set of equivalent atoms:
Mn 0.0000 0.0514 0.0000 x4
Mn 0.0000 0.3793 0.5122 x4
Mn 0.1225 0.3245 0.0056 x8
Mn 0.1251 0.4970 0.7587 x8
Mn 0.1479 0.1624 0.6936 x8
Si 0.2476 0.0828 0.0100 x8
Mo 0.1474 0.1619 0.3211 x8
C 0.0000 0.3037 0.7963 x4
C 0.0000 0.3194 0.2135 x4

Main lines, in order of rising 2θ (15° ≤ 2θ ≤ 90°):
2θ 35.24, I = 21, (4 0 0)
2θ 38.10, I = 26, (1 1 3)
2θ 41.99, I = 100, (1 3 2)
2θ 42.67, I = 31, (4 0 2)
2θ 42.86, I = 38, (3 3 0)
2θ 43.65, I = 53, (4 2 1)
2θ 45.95, I = 50, (3 1 3)
2θ 46.51, I = 22, (0 4 1)
2θ 47.62, I = 18, (0 0 4)
2θ 49.35, I = 32, (3 3 2)



No. 6
# Tm2Fe17H3
Calculated XRD peak list, copper Kα. Input: a DFT-relaxed cell (PBE, the Materials Project).

Cell and atoms:
a b c (Å): 8.4883 8.4883 8.2532
angles (deg): 90.00 90.00 120.00
Space group P6_3/mmc (No. 194)
One atom of each set of equivalent atoms:
Tm 0.0000 0.0000 0.2500 x2
Tm 0.3333 0.6667 0.2500 x2
Fe 0.0000 0.5000 0.0000 x6
Fe 0.0471 0.3756 0.7500 x12
Fe 0.1665 0.3330 0.0173 x12
Fe 0.3333 0.6667 0.6044 x4
H 0.1647 0.3293 0.2500 x6

Main lines, in order of rising 2θ (15° ≤ 2θ ≤ 90°):
2θ 30.21, I = 47, (1 1 2)
2θ 36.68, I = 42, (3 0 0)
2θ 40.98, I = 36, (2 0 3)
2θ 42.60, I = 65, (2 2 0)
2θ 42.93, I = 100, (3 0 2)
2θ 43.88, I = 32, (0 0 4)
2θ 46.45, I = 18, (2 1 3)
2θ 62.08, I = 20, (4 1 2)
2θ 62.82, I = 19, (2 2 4)
2θ 79.99, I = 19, (3 0 6)



No. 7
# PrBPd3
Calculated XRD peak list, copper Kα. Input: a DFT-relaxed cell (PBE, the Materials Project).

Cell and atoms:
a b c (Å): 4.3976 4.3976 4.3976
angles (deg): 90.00 90.00 90.00
Space group Pm-3m (No. 221)
One atom of each set of equivalent atoms:
Pr 0.0000 0.0000 0.0000 x1
B 0.5000 0.5000 0.5000 x1
Pd 0.0000 0.5000 0.5000 x3

Main lines, in order of rising 2θ (15° ≤ 2θ ≤ 90°):
2θ 20.19, I = 1, (1 0 0)
2θ 28.71, I = 2, (1 1 0)
2θ 35.35, I = 100, (1 1 1)
2θ 41.05, I = 53, (2 0 0)
2θ 50.86, I = 1, (2 1 1)
2θ 59.45, I = 35, (2 2 0)
2θ 71.10, I = 38, (3 1 1)
2θ 74.79, I = 12, (2 2 2)
2θ 89.05, I = 6, (4 0 0)